Theoretical X-ray powder pattern
Compound: Rb2MgNbS4
Radiation: Cu Ka
Structure: a cell relaxed with PBE

Atomic structure:
```
Rb2MgNbS4
1.0
-3.657 3.657 4.625
3.657 -3.657 4.625
3.657 3.657 -4.625
Rb Mg Nb S
2 1 1 4
Cartesian
0.000 0.000 0.000
0.000 3.657 2.312
0.000 0.000 4.625
3.657 0.000 2.312
1.702 2.599 -1.080
4.715 1.702 1.080
1.955 1.058 3.545
-1.058 1.955 5.705
```

Most intense lines, 10 to 90 degrees two-theta, in order of falling intensity:
2θ 25.8, I 1000
2θ 43.8, I 424
2θ 46.5, I 275
2θ 24.3, I 262
2θ 34.7, I 248
2θ 29.0, I 197
2θ 56.2, I 154
2θ 15.4, I 108
2θ 68.5, I 107
2θ 53.1, I 102


Theoretical X-ray powder pattern
Compound: Pr6In2Au
Radiation: Cu Ka
Structure: a cell relaxed with PBE

Atomic structure:
```
Pr6In2Au
1.0
10.384 0.000 0.000
0.000 10.384 0.000
0.000 0.000 5.242
Pr In Au
12 4 2
Cartesian
0.218 3.286 0.000
1.252 9.132 2.621
1.906 5.410 2.621
3.286 0.218 0.000
3.940 3.940 0.000
4.974 8.478 2.621
5.410 1.906 2.621
6.444 6.444 0.000
7.098 10.166 0.000
8.478 4.974 2.621
9.132 1.252 2.621
10.166 7.098 0.000
2.105 2.105 2.621
3.087 7.297 0.000
7.297 3.087 0.000
8.279 8.279 2.621
0.000 0.000 0.000
5.192 5.192 2.621
```

Most intense lines, 10 to 90 degrees two-theta, in order of falling intensity:
2θ 31.0, I 1000
2θ 34.2, I 232
2θ 36.7, I 213
2θ 32.2, I 190
2θ 51.1, I 165
2θ 59.2, I 138
2θ 58.9, I 84
2θ 46.9, I 75
2θ 62.6, I 73
2θ 12.1, I 60


Theoretical X-ray powder pattern
Compound: Sm3Er6Cd
Radiation: Cu Ka
Structure: a cell relaxed with PBE

Atomic structure:
```
Sm3Er6Cd
1.0
6.072 3.506 5.013
-6.072 3.506 5.013
0.000 -7.012 5.013
Sm Er Cd
6 12 2
Cartesian
-2.340 -2.373 8.055
-3.225 0.840 6.985
0.885 -3.213 6.985
-0.885 3.213 8.055
3.225 -0.840 8.055
2.340 2.373 6.985
-1.982 -5.063 6.180
-5.376 -0.815 8.860
-1.362 -1.592 4.679
-3.394 4.248 6.180
-0.698 1.975 4.679
2.060 -0.383 4.679
-2.060 0.383 10.361
0.698 -1.975 10.361
3.394 -4.248 8.860
1.362 1.592 10.361
5.376 0.815 6.180
1.982 5.063 8.860
0.000 0.000 0.000
0.000 0.000 7.520
```

Most intense lines, 10 to 90 degrees two-theta, in order of falling intensity:
2θ 31.2, I 1000
2θ 32.8, I 706
2θ 32.9, I 479
2θ 31.1, I 334
2θ 30.9, I 292
2θ 34.3, I 266
2θ 54.2, I 195
2θ 57.8, I 187
2θ 54.4, I 172
2θ 39.2, I 140